(1)
Starting from a PBE-relaxed structure, the XRD peak list of Y3Si6N11 was simulated for Cu Kα.

Cell and atoms:
```
data_Y3Si6N11
_symmetry_space_group_name_H-M 'P 4 b m'
_symmetry_Int_Tables_number 100
_symmetry_space_group_name_Hall 'P 4 -2ab'
_cell_length_a 9.9706
_cell_length_b 9.9706
_cell_length_c 4.8912
_cell_angle_alpha 90.00
_cell_angle_beta 90.00
_cell_angle_gamma 90.00
loop_
_atom_site_label
_atom_site_fract_x
_atom_site_fract_y
_atom_site_fract_z
Y1 0.0000 0.0000 0.0000
Y2 0.1829 0.3171 0.0108
Si1 0.0804 0.7922 0.5583
Si2 0.1192 0.6192 0.0709
N1 0.0000 0.5000 0.0996
N2 0.0787 0.1813 0.6805
N3 0.0796 0.7768 0.2043
N4 0.1534 0.6534 0.7235
```

Principal peaks in the range 15 to 90 degrees two-theta, in order of falling intensity:
Position (°2θ), d_spacing, intensity, h k l
33.82, 2.650, 100, 3 1 1
31.28, 2.860, 75, 2 2 1
18.14, 4.891, 62, 0 0 1
27.06, 3.295, 51, 2 1 1
37.18, 2.418, 44, 4 1 0
53.27, 1.720, 33, 4 1 2
36.75, 2.446, 31, 0 0 2
28.31, 3.153, 26, 3 1 0
37.36, 2.407, 24, 3 2 1
41.66, 2.168, 24, 4 1 1

***

(2)
Starting from a PBE-relaxed structure, the XRD peak list of MnPb4N4 was simulated for Cu Kα.

Cell and atoms:
```
data_MnPb4N4
_symmetry_space_group_name_H-M 'P -1'
_symmetry_Int_Tables_number 2
_symmetry_space_group_name_Hall '-P 1'
_cell_length_a 6.3374
_cell_length_b 6.4431
_cell_length_c 9.3343
_cell_angle_alpha 82.62
_cell_angle_beta 83.99
_cell_angle_gamma 69.88
loop_
_atom_site_label
_atom_site_fract_x
_atom_site_fract_y
_atom_site_fract_z
Mn1 0.2309 0.4139 0.2896
Pb1 0.2192 0.9716 0.1252
Pb2 0.2252 0.7314 0.5135
Pb3 0.2590 0.5085 0.9083
Pb4 0.3074 0.1283 0.6774
N1 0.0495 0.2667 0.2802
N2 0.0828 0.7029 0.2722
N3 0.3434 0.3616 0.4628
N4 0.4371 0.3503 0.1547
```

Principal peaks in the range 15 to 90 degrees two-theta, in order of falling intensity:
Position (°2θ), d_spacing, intensity, h k l
27.63, 3.229, 100, 1 1 -2
30.31, 2.949, 84, 0 2 1
31.50, 2.840, 82, 1 -1 2
31.62, 2.830, 81, 1 1 3
30.10, 2.969, 77, 2 0 0
34.58, 2.594, 58, 2 2 1
37.81, 2.380, 35, -1 1 3
44.88, 2.019, 25, 1 3 -1
49.96, 1.826, 23, 3 1 3
56.96, 1.617, 21, 2 0 5

***

(3)
Starting from a PBE-relaxed structure, the XRD peak list of Hg was simulated for Cu Kα.

Cell and atoms:
```
data_Hg
_symmetry_space_group_name_H-M 'R -3 m'
_symmetry_Int_Tables_number 166
_symmetry_space_group_name_Hall '-R 3 2"'
_cell_length_a 4.5703
_cell_length_b 4.5703
_cell_length_c 5.2267
_cell_angle_alpha 90.00
_cell_angle_beta 90.00
_cell_angle_gamma 120.00
loop_
_atom_site_label
_atom_site_fract_x
_atom_site_fract_y
_atom_site_fract_z
Hg1 0.0000 0.0000 0.0000
```

Principal peaks in the range 15 to 90 degrees two-theta, in order of falling intensity:
Position (°2θ), d_spacing, intensity, h k l
28.28, 3.155, 100, 1 0 1
39.43, 2.285, 42, 1 1 0
41.40, 2.181, 37, 0 1 2
49.23, 1.851, 22, 0 2 1
64.83, 1.438, 20, 2 1 1
67.62, 1.385, 18, 1 1 3
72.85, 1.298, 14, 1 2 2
58.50, 1.578, 14, 2 0 2
71.51, 1.319, 8, 3 0 0
76.82, 1.241, 6, 1 0 4

***

(4)
Starting from a PBE-relaxed structure, the XRD peak list of TmPu3 was simulated for Cu Kα.

Cell and atoms:
```
data_TmPu3
_symmetry_space_group_name_H-M 'P 63/m m c'
_symmetry_Int_Tables_number 194
_symmetry_space_group_name_Hall '-P 6c 2c'
_cell_length_a 6.8549
_cell_length_b 6.8549
_cell_length_c 5.5445
_cell_angle_alpha 90.00
_cell_angle_beta 90.00
_cell_angle_gamma 120.00
loop_
_atom_site_label
_atom_site_fract_x
_atom_site_fract_y
_atom_site_fract_z
Tm1 0.3333 0.6667 0.2500
Pu1 0.1641 0.3282 0.7500
```

Principal peaks in the range 15 to 90 degrees two-theta, in order of falling intensity:
Position (°2θ), d_spacing, intensity, h k l
34.27, 2.617, 100, 2 0 1
32.29, 2.772, 26, 0 0 2
30.11, 2.968, 23, 2 0 0
63.86, 1.458, 23, 2 2 2
58.86, 1.569, 22, 2 0 3
53.47, 1.714, 19, 2 2 0
65.06, 1.434, 16, 4 0 1
44.73, 2.026, 16, 2 0 2
89.03, 1.100, 15, 4 2 1
83.55, 1.157, 8, 4 0 3

***

(5)
Starting from a PBE-relaxed structure, the XRD peak list of SbPb was simulated for Cu Kα.

Cell and atoms:
```
data_SbPb
_symmetry_space_group_name_H-M 'F m -3 m'
_symmetry_Int_Tables_number 225
_symmetry_space_group_name_Hall '-F 4 2 3'
_cell_length_a 6.3590
_cell_length_b 6.3590
_cell_length_c 6.3590
_cell_angle_alpha 90.00
_cell_angle_beta 90.00
_cell_angle_gamma 90.00
loop_
_atom_site_label
_atom_site_fract_x
_atom_site_fract_y
_atom_site_fract_z
Sb1 0.0000 0.0000 0.0000
Pb1 0.0000 0.0000 0.5000
```

Principal peaks in the range 15 to 90 degrees two-theta, in order of falling intensity:
Position (°2θ), d_spacing, intensity, h k l
28.06, 3.180, 100, 2 0 0
40.11, 2.248, 78, 2 2 0
65.66, 1.422, 37, 4 2 0
49.66, 1.836, 28, 2 2 2
72.87, 1.298, 27, 4 2 2
58.02, 1.590, 13, 4 0 0
24.24, 3.671, 12, 1 1 1
86.60, 1.124, 9, 4 4 0
47.42, 1.917, 7, 3 1 1
63.80, 1.459, 3, 3 3 1

***

(6)
Starting from a PBE-relaxed structure, the XRD peak list of NaPrTi2O6 was simulated for Cu Kα.

Cell and atoms:
```
data_NaPrTi2O6
_symmetry_space_group_name_H-M 'P m n 21'
_symmetry_Int_Tables_number 31
_symmetry_space_group_name_Hall 'P 2ac -2'
_cell_length_a 7.7535
_cell_length_b 5.5132
_cell_length_c 5.4842
_cell_angle_alpha 90.00
_cell_angle_beta 90.00
_cell_angle_gamma 90.00
loop_
_atom_site_label
_atom_site_fract_x
_atom_site_fract_y
_atom_site_fract_z
Na1 0.0000 0.2342 0.0000
Pr1 0.0000 0.7203 0.5123
Ti1 0.2494 0.2462 0.5040
O1 0.0000 0.2619 0.4419
O2 0.0000 0.7590 0.0782
O3 0.2131 0.9682 0.7213
O4 0.2156 0.4773 0.7751
```

Principal peaks in the range 15 to 90 degrees two-theta, in order of falling intensity:
Position (°2θ), d_spacing, intensity, h k l
32.63, 2.745, 100, 2 1 1
19.80, 4.485, 75, 1 0 1
46.73, 1.944, 29, 0 2 2
38.47, 2.340, 29, 3 0 1
58.23, 1.584, 27, 2 1 3
32.48, 2.757, 20, 0 2 0
68.36, 1.372, 18, 4 2 2
46.87, 1.938, 15, 4 0 0
58.03, 1.589, 13, 2 3 1
38.35, 2.347, 12, 1 2 1